No. 1
Structure and calculated powder diffraction line list of NdYHo2Sc (a GGA-PBE-relaxed structure; copper Kα).

Main lines, in order of rising 2θ (2θ = 10–90°):
- 11.10°, I 23
- 22.32°, I 19
- 30.30°, I 100
- 33.75°, I 13
- 34.51°, I 21
- 36.17°, I 32
- 40.15°, I 35
- 53.43°, I 14
- 53.96°, I 11
- 58.09°, I 12
- 65.54°, I 14
- 66.92°, I 20

Cell and atoms:
```
data_NdYHo2Sc
_cell_length_a 8.5778
_cell_length_b 8.5778
_cell_length_c 6.3502
_cell_angle_alpha 90.00
_cell_angle_beta 90.00
_cell_angle_gamma 136.52
_space_group_name_H-M_alt 'P 1'
_space_group_IT_number 1
loop_
_space_group_symop_operation_xyz
'x,y,z'
loop_
_atom_site_label
_atom_site_type_symbol
_atom_site_fract_x
_atom_site_fract_y
_atom_site_fract_z
Nd1 Nd 0.1613 0.8387 0.7500
Nd2 Nd 0.8387 0.1613 0.2500
Y1 Y 0.2508 0.7492 0.2500
Y2 Y 0.7492 0.2508 0.7500
Ho1 Ho 0.2519 0.2519 0.0000
Ho2 Ho 0.2519 0.2519 0.5000
Ho3 Ho 0.7481 0.7481 0.0000
Ho4 Ho 0.7481 0.7481 0.5000
Sc1 Sc 0.3467 0.6533 0.7500
Sc2 Sc 0.6533 0.3467 0.2500
```

No. 2
Structure and calculated powder diffraction line list of Nd4HoSe6 (a GGA-PBE-relaxed structure; copper Kα).

Main lines, in order of rising 2θ (2θ = 10–90°):
- 24.09°, I 33
- 25.97°, I 85
- 30.66°, I 74
- 31.99°, I 98
- 33.86°, I 30
- 34.26°, I 100
- 35.72°, I 99
- 39.37°, I 25
- 40.15°, I 35
- 46.22°, I 56
- 55.74°, I 32
- 69.20°, I 40

Cell and atoms:
```
data_Nd4HoSe6
_cell_length_a 8.3265
_cell_length_b 8.3265
_cell_length_c 8.3265
_cell_angle_alpha 91.05
_cell_angle_beta 91.05
_cell_angle_gamma 91.05
_space_group_name_H-M_alt 'P 1'
_space_group_IT_number 1
loop_
_space_group_symop_operation_xyz
'x,y,z'
loop_
_atom_site_label
_atom_site_type_symbol
_atom_site_fract_x
_atom_site_fract_y
_atom_site_fract_z
Nd1 Nd 0.1355 0.7500 0.3645
Nd2 Nd 0.2500 0.2500 0.2500
Nd3 Nd 0.2500 0.6355 0.8645
Nd4 Nd 0.3645 0.1355 0.7500
Nd5 Nd 0.6355 0.8645 0.2500
Nd6 Nd 0.7500 0.3645 0.1355
Nd7 Nd 0.7500 0.7500 0.7500
Nd8 Nd 0.8645 0.2500 0.6355
Ho1 Ho 0.0000 0.0000 0.0000
Ho2 Ho 0.5000 0.5000 0.5000
Se1 Se 0.0605 0.9164 0.6819
Se2 Se 0.0836 0.3181 0.9395
Se3 Se 0.1819 0.4164 0.5605
Se4 Se 0.3181 0.9395 0.0836
Se5 Se 0.4164 0.5605 0.1819
Se6 Se 0.4395 0.8181 0.5836
Se7 Se 0.5605 0.1819 0.4164
Se8 Se 0.5836 0.4395 0.8181
Se9 Se 0.6819 0.0605 0.9164
Se10 Se 0.8181 0.5836 0.4395
Se11 Se 0.9164 0.6819 0.0605
Se12 Se 0.9395 0.0836 0.3181
```

No. 3
Structure and calculated powder diffraction line list of Nd3Ho2Se6 (a GGA-PBE-relaxed structure; copper Kα).

Main lines, in order of rising 2θ (2θ = 10–90°):
- 12.82°, I 8
- 25.32°, I 7
- 29.36°, I 100
- 31.95°, I 17
- 40.56°, I 21
- 43.41°, I 43
- 44.25°, I 22
- 53.27°, I 19
- 70.89°, I 15
- 71.06°, I 16
- 79.66°, I 7
- 80.25°, I 8

Cell and atoms:
```
data_Nd3Ho2Se6
_cell_length_a 20.8479
_cell_length_b 20.8479
_cell_length_c 20.8479
_cell_angle_alpha 11.48
_cell_angle_beta 11.48
_cell_angle_gamma 11.48
_space_group_name_H-M_alt 'P 1'
_space_group_IT_number 1
loop_
_space_group_symop_operation_xyz
'x,y,z'
loop_
_atom_site_label
_atom_site_type_symbol
_atom_site_fract_x
_atom_site_fract_y
_atom_site_fract_z
Nd1 Nd 0.0000 0.0000 0.0000
Nd2 Nd 0.2774 0.2774 0.2774
Nd3 Nd 0.7226 0.7226 0.7226
Ho1 Ho 0.4483 0.4483 0.4483
Ho2 Ho 0.5517 0.5517 0.5517
Se1 Se 0.0857 0.0857 0.0857
Se2 Se 0.1966 0.1966 0.1966
Se3 Se 0.3616 0.3616 0.3616
Se4 Se 0.6384 0.6384 0.6384
Se5 Se 0.8034 0.8034 0.8034
Se6 Se 0.9143 0.9143 0.9143
```

No. 4
Structure and calculated powder diffraction line list of NdSm4HoSe8 (a GGA-PBE-relaxed structure; copper Kα).

Main lines, in order of rising 2θ (2θ = 10–90°):
- 20.70°, I 27
- 24.32°, I 94
- 29.44°, I 48
- 36.26°, I 13
- 38.54°, I 46
- 42.12°, I 100
- 58.37°, I 12
- 58.44°, I 12
- 61.08°, I 16
- 69.24°, I 15
- 74.59°, I 11
- 77.01°, I 24

Cell and atoms:
```
data_NdSm4HoSe8
_cell_length_a 8.5882
_cell_length_b 8.5882
_cell_length_c 8.5882
_cell_angle_alpha 59.91
_cell_angle_beta 59.91
_cell_angle_gamma 59.91
_space_group_name_H-M_alt 'P 1'
_space_group_IT_number 1
loop_
_space_group_symop_operation_xyz
'x,y,z'
loop_
_atom_site_label
_atom_site_type_symbol
_atom_site_fract_x
_atom_site_fract_y
_atom_site_fract_z
Nd1 Nd 0.0000 0.0000 0.0000
Sm1 Sm 0.0001 0.0001 0.5042
Sm2 Sm 0.0001 0.5042 0.0001
Sm3 Sm 0.3758 0.3758 0.3758
Sm4 Sm 0.5042 0.0001 0.0001
Ho1 Ho 0.6265 0.6265 0.6265
Se1 Se 0.2382 0.7535 0.7535
Se2 Se 0.2429 0.2429 0.2429
Se3 Se 0.2454 0.2454 0.7736
Se4 Se 0.2454 0.7736 0.2454
Se5 Se 0.7535 0.2382 0.7535
Se6 Se 0.7535 0.7535 0.2382
Se7 Se 0.7562 0.7562 0.7562
Se8 Se 0.7736 0.2454 0.2454
```

No. 5
Structure and calculated powder diffraction line list of Nd2SmHo3Se6 (a GGA-PBE-relaxed structure; copper Kα).

Main lines, in order of rising 2θ (2θ = 10–90°):
- 26.58°, I 14
- 30.59°, I 100
- 43.28°, I 13
- 43.39°, I 25
- 44.25°, I 36
- 53.21°, I 7
- 54.68°, I 6
- 54.79°, I 13
- 63.64°, I 8
- 71.69°, I 11
- 72.94°, I 16
- 80.88°, I 8

Cell and atoms:
```
data_Nd2SmHo3Se6
_cell_length_a 9.2887
_cell_length_b 9.2887
_cell_length_c 8.3647
_cell_angle_alpha 104.49
_cell_angle_beta 104.49
_cell_angle_gamma 25.45
_space_group_name_H-M_alt 'P 1'
_space_group_IT_number 1
loop_
_space_group_symop_operation_xyz
'x,y,z'
loop_
_atom_site_label
_atom_site_type_symbol
_atom_site_fract_x
_atom_site_fract_y
_atom_site_fract_z
Nd1 Nd 0.1672 0.1672 0.3341
Nd2 Nd 0.8328 0.8328 0.6659
Sm1 Sm 0.5000 0.5000 0.0000
Ho1 Ho 0.1677 0.1677 0.8334
Ho2 Ho 0.5000 0.5000 0.5000
Ho3 Ho 0.8323 0.8323 0.1666
Se1 Se 0.0038 0.0038 0.7442
Se2 Se 0.3314 0.3314 0.9269
Se3 Se 0.3372 0.3372 0.4076
Se4 Se 0.6628 0.6628 0.5924
Se5 Se 0.6686 0.6686 0.0731
Se6 Se 0.9962 0.9962 0.2558
```

No. 6
Structure and calculated powder diffraction line list of Nd2HoThSe4 (a GGA-PBE-relaxed structure; copper Kα).

Main lines, in order of rising 2θ (2θ = 10–90°):
- 26.24°, I 12
- 30.22°, I 100
- 42.91°, I 13
- 43.09°, I 25
- 43.41°, I 25
- 43.65°, I 12
- 53.09°, I 7
- 53.64°, I 7
- 53.99°, I 13
- 62.84°, I 12
- 71.06°, I 11
- 71.52°, I 11

Cell and atoms:
```
data_Nd2HoThSe4
_cell_length_a 7.2327
_cell_length_b 4.1476
_cell_length_c 7.3019
_cell_angle_alpha 90.00
_cell_angle_beta 109.09
_cell_angle_gamma 90.00
_space_group_name_H-M_alt 'P 1'
_space_group_IT_number 1
loop_
_space_group_symop_operation_xyz
'x,y,z'
loop_
_atom_site_label
_atom_site_type_symbol
_atom_site_fract_x
_atom_site_fract_y
_atom_site_fract_z
Nd1 Nd 0.0000 0.0000 0.0000
Nd2 Nd 0.0000 0.5000 0.5000
Ho1 Ho 0.5000 0.0000 0.5000
Th1 Th 0.5000 0.5000 0.0000
Se1 Se 0.2554 0.0000 0.7441
Se2 Se 0.2614 0.5000 0.2610
Se3 Se 0.7386 0.5000 0.7390
Se4 Se 0.7446 0.0000 0.2559
```

No. 7
Structure and calculated powder diffraction line list of Nd8Sm2Ho (a GGA-PBE-relaxed structure; copper Kα).

Main lines, in order of rising 2θ (2θ = 10–90°):
- 23.05°, I 18
- 28.15°, I 18
- 29.27°, I 53
- 29.94°, I 42
- 30.69°, I 100
- 31.43°, I 54
- 32.11°, I 60
- 32.42°, I 17
- 33.92°, I 17
- 57.23°, I 21
- 61.38°, I 33
- 62.86°, I 16

Cell and atoms:
```
data_Nd8Sm2Ho
_cell_length_a 9.1058
_cell_length_b 9.1058
_cell_length_c 6.7958
_cell_angle_alpha 99.98
_cell_angle_beta 99.98
_cell_angle_gamma 44.28
_space_group_name_H-M_alt 'P 1'
_space_group_IT_number 1
loop_
_space_group_symop_operation_xyz
'x,y,z'
loop_
_atom_site_label
_atom_site_type_symbol
_atom_site_fract_x
_atom_site_fract_y
_atom_site_fract_z
Nd1 Nd 0.0925 0.0925 0.9146
Nd2 Nd 0.1510 0.6760 0.5962
Nd3 Nd 0.2562 0.2562 0.6834
Nd4 Nd 0.3240 0.8490 0.4038
Nd5 Nd 0.6760 0.1510 0.5962
Nd6 Nd 0.7438 0.7438 0.3166
Nd7 Nd 0.8490 0.3240 0.4038
Nd8 Nd 0.9075 0.9075 0.0854
Sm1 Sm 0.3045 0.3045 0.1938
Sm2 Sm 0.6955 0.6955 0.8062
Ho1 Ho 0.5000 0.5000 0.0000
```

No. 8
Structure and calculated powder diffraction line list of Nd4Sm8Ho (a GGA-PBE-relaxed structure; copper Kα).

Main lines, in order of rising 2θ (2θ = 10–90°):
- 19.41°, I 15
- 22.53°, I 13
- 31.90°, I 100
- 32.24°, I 96
- 45.99°, I 35
- 56.84°, I 19
- 57.06°, I 37
- 57.69°, I 17
- 66.68°, I 11
- 67.45°, I 10
- 76.01°, I 15
- 76.56°, I 14

Cell and atoms:
```
data_Nd4Sm8Ho
_cell_length_a 7.8951
_cell_length_b 7.8951
_cell_length_c 7.8951
_cell_angle_alpha 90.58
_cell_angle_beta 90.58
_cell_angle_gamma 90.58
_space_group_name_H-M_alt 'P 1'
_space_group_IT_number 1
loop_
_space_group_symop_operation_xyz
'x,y,z'
loop_
_atom_site_label
_atom_site_type_symbol
_atom_site_fract_x
_atom_site_fract_y
_atom_site_fract_z
Nd1 Nd 0.0000 0.0000 0.0000
Nd2 Nd 0.0000 0.5000 0.5000
Nd3 Nd 0.5000 0.0000 0.5000
Nd4 Nd 0.5000 0.5000 0.0000
Sm1 Sm 0.2384 0.2384 0.2384
Sm2 Sm 0.2376 0.2376 0.7557
Sm3 Sm 0.2376 0.7557 0.2376
Sm4 Sm 0.2443 0.7624 0.7624
Sm5 Sm 0.7557 0.2376 0.2376
Sm6 Sm 0.7624 0.2443 0.7624
Sm7 Sm 0.7624 0.7624 0.2443
Sm8 Sm 0.7616 0.7616 0.7616
Ho1 Ho 0.5000 0.5000 0.5000
```